(1)
# LiNp3
Calculated powder diffractogram, Cu Kα (weighted mean of Kα1 and Kα2). Input: a cell relaxed with GGA-PBE.
No peak broadening, texture or thermal motion is included.

Top 11 peaks for 10 to 90 degrees two-theta, sorted by position:
d 3.659, intensity 25; d 3.169, intensity 13; d 2.241, intensity 100; d 1.911, intensity 13; d 1.830, intensity 4; d 1.585, intensity 17; d 1.454, intensity 6; d 1.417, intensity 5; d 1.294, intensity 36; d 1.220, intensity 4; d 1.120, intensity 12

```
data_LiNp3
_chemical_formula_sum 'Li1 Np3'
_cell_length_a 4.4817
_cell_length_b 4.4817
_cell_length_c 4.4817
_cell_angle_alpha 60.00
_cell_angle_beta 60.00
_cell_angle_gamma 60.00
_symmetry_space_group_name_H-M 'P 1'
_symmetry_Int_Tables_number 1
_symmetry_space_group_name_Hall 'P 1'
loop_
_atom_site_label
_atom_site_type_symbol
_atom_site_fract_x
_atom_site_fract_y
_atom_site_fract_z
Li1 Li 0.0000 0.0000 0.0000
Np1 Np 0.2500 0.2500 0.2500
Np2 Np 0.5000 0.5000 0.5000
Np3 Np 0.7500 0.7500 0.7500
```

=====

(2)
# Li2Np2O7
Calculated powder diffractogram, Cu Kα (weighted mean of Kα1 and Kα2). Input: a cell relaxed with GGA-PBE.
No peak broadening, texture or thermal motion is included.

Top 12 peaks for 10 to 90 degrees two-theta, sorted by position:
d 5.248, intensity 100; d 3.852, intensity 43; d 3.479, intensity 32; d 3.409, intensity 32; d 2.900, intensity 49; d 2.871, intensity 19; d 2.582, intensity 19; d 2.435, intensity 17; d 2.214, intensity 23; d 2.095, intensity 21; d 1.961, intensity 16; d 1.740, intensity 22

```
data_Li2Np2O7
_chemical_formula_sum 'Li2 Np2 O7'
_cell_length_a 5.2375
_cell_length_b 5.2375
_cell_length_c 5.3337
_cell_angle_alpha 97.65
_cell_angle_beta 97.65
_cell_angle_gamma 83.26
_symmetry_space_group_name_H-M 'P 1'
_symmetry_Int_Tables_number 1
_symmetry_space_group_name_Hall 'P 1'
loop_
_atom_site_label
_atom_site_type_symbol
_atom_site_fract_x
_atom_site_fract_y
_atom_site_fract_z
Li1 Li 0.1943 0.8057 0.0000
Li2 Li 0.8057 0.1943 0.0000
Np1 Np 0.2309 0.2309 0.5170
Np2 Np 0.7691 0.7691 0.4830
O1 O 0.0387 0.0387 0.7364
O2 O 0.0410 0.5428 0.7358
O3 O 0.4572 0.9590 0.2642
O4 O 0.5000 0.5000 0.5000
O5 O 0.5428 0.0410 0.7358
O6 O 0.9590 0.4572 0.2642
O7 O 0.9613 0.9613 0.2636
```

=====

(3)
# LiNp4O12
Calculated powder diffractogram, Cu Kα (weighted mean of Kα1 and Kα2). Input: a cell relaxed with GGA-PBE.
No peak broadening, texture or thermal motion is included.

Top 12 peaks for 10 to 90 degrees two-theta, sorted by position:
d 4.063, intensity 100; d 4.022, intensity 48; d 2.873, intensity 31; d 2.858, intensity 67; d 2.338, intensity 31; d 2.032, intensity 19; d 1.817, intensity 21; d 1.813, intensity 24; d 1.802, intensity 22; d 1.656, intensity 31; d 1.648, intensity 15; d 1.348, intensity 16

```
data_LiNp4O12
_chemical_formula_sum 'Li1 Np4 O12'
_cell_length_a 7.0139
_cell_length_b 7.0139
_cell_length_c 7.0139
_cell_angle_alpha 110.02
_cell_angle_beta 109.24
_cell_angle_gamma 109.15
_symmetry_space_group_name_H-M 'P 1'
_symmetry_Int_Tables_number 1
_symmetry_space_group_name_Hall 'P 1'
loop_
_atom_site_label
_atom_site_type_symbol
_atom_site_fract_x
_atom_site_fract_y
_atom_site_fract_z
Li1 Li 0.0000 0.0000 0.0000
Np1 Np 0.0000 0.0000 0.5000
Np2 Np 0.0000 0.5000 0.0000
Np3 Np 0.5000 0.0000 0.0000
Np4 Np 0.5000 0.5000 0.5000
O1 O 0.0032 0.1945 0.8086
O2 O 0.2345 0.2969 0.5315
O3 O 0.2345 0.7031 0.9376
O4 O 0.2691 0.5638 0.2947
O5 O 0.2691 0.9744 0.7053
O6 O 0.3859 0.1945 0.1914
O7 O 0.6141 0.8055 0.8086
O8 O 0.7309 0.0256 0.2947
O9 O 0.7309 0.4362 0.7053
O10 O 0.7655 0.2969 0.0624
O11 O 0.7655 0.7031 0.4685
O12 O 0.9968 0.8055 0.1914
```

=====

(4)
# LiNp4O10
Calculated powder diffractogram, Cu Kα (weighted mean of Kα1 and Kα2). Input: a cell relaxed with GGA-PBE.
No peak broadening, texture or thermal motion is included.

Top 12 peaks for 10 to 90 degrees two-theta, sorted by position:
d 5.912, intensity 11; d 4.469, intensity 15; d 4.181, intensity 8; d 3.053, intensity 100; d 2.644, intensity 35; d 2.124, intensity 5; d 1.870, intensity 50; d 1.594, intensity 45; d 1.526, intensity 10; d 1.322, intensity 8; d 1.213, intensity 19; d 1.182, intensity 14

```
data_LiNp4O10
_chemical_formula_sum 'Li1 Np4 O10'
_cell_length_a 6.4764
_cell_length_b 6.4764
_cell_length_c 6.4764
_cell_angle_alpha 99.59
_cell_angle_beta 99.59
_cell_angle_gamma 131.82
_symmetry_space_group_name_H-M 'P 1'
_symmetry_Int_Tables_number 1
_symmetry_space_group_name_Hall 'P 1'
loop_
_atom_site_label
_atom_site_type_symbol
_atom_site_fract_x
_atom_site_fract_y
_atom_site_fract_z
Li1 Li 0.0000 0.0000 0.0000
Np1 Np 0.2042 0.3967 0.6010
Np2 Np 0.3967 0.7958 0.1925
Np3 Np 0.6033 0.2042 0.8075
Np4 Np 0.7958 0.6033 0.3990
O1 O 0.0494 0.3590 0.8928
O2 O 0.1566 0.0494 0.6904
O3 O 0.2500 0.7500 0.5000
O4 O 0.3590 0.4662 0.3096
O5 O 0.4662 0.1566 0.1072
O6 O 0.5338 0.8434 0.8928
O7 O 0.6410 0.5338 0.6904
O8 O 0.7500 0.2500 0.5000
O9 O 0.8434 0.9506 0.3096
O10 O 0.9506 0.6410 0.1072
```

=====

(5)
# LiNpPb2O8
Calculated powder diffractogram, Cu Kα (weighted mean of Kα1 and Kα2). Input: a cell relaxed with GGA-PBE.
No peak broadening, texture or thermal motion is included.

Top 12 peaks for 10 to 90 degrees two-theta, sorted by position:
d 6.523, intensity 21; d 5.155, intensity 14; d 4.044, intensity 36; d 3.645, intensity 100; d 3.181, intensity 14; d 2.756, intensity 78; d 2.581, intensity 14; d 2.574, intensity 14; d 2.175, intensity 12; d 1.883, intensity 51; d 1.880, intensity 17; d 1.489, intensity 15

```
data_LiNpPb2O8
_chemical_formula_sum 'Li1 Np1 Pb2 O8'
_cell_length_a 5.1472
_cell_length_b 6.5231
_cell_length_c 5.1621
_cell_angle_alpha 90.00
_cell_angle_beta 90.16
_cell_angle_gamma 90.00
_symmetry_space_group_name_H-M 'P 1'
_symmetry_Int_Tables_number 1
_symmetry_space_group_name_Hall 'P 1'
loop_
_atom_site_label
_atom_site_type_symbol
_atom_site_fract_x
_atom_site_fract_y
_atom_site_fract_z
Li1 Li 0.0000 0.0000 0.0000
Np1 Np 0.0000 0.5000 0.0000
Pb1 Pb 0.5000 0.2424 0.5000
Pb2 Pb 0.5000 0.7576 0.5000
O1 O 0.1814 0.2813 0.8214
O2 O 0.1814 0.7187 0.8214
O3 O 0.3003 0.0000 0.3024
O4 O 0.3060 0.5000 0.3096
O5 O 0.6940 0.5000 0.6904
O6 O 0.6997 0.0000 0.6976
O7 O 0.8186 0.2813 0.1786
O8 O 0.8186 0.7187 0.1786
```

=====

(6)
# LiNp2PdO8
Calculated powder diffractogram, Cu Kα (weighted mean of Kα1 and Kα2). Input: a cell relaxed with GGA-PBE.
No peak broadening, texture or thermal motion is included.

Top 12 peaks for 10 to 90 degrees two-theta, sorted by position:
d 4.631, intensity 61; d 2.984, intensity 100; d 2.856, intensity 17; d 2.594, intensity 20; d 2.565, intensity 10; d 2.263, intensity 18; d 1.920, intensity 12; d 1.835, intensity 18; d 1.824, intensity 35; d 1.563, intensity 30; d 1.550, intensity 15; d 1.184, intensity 12

```
data_LiNp2PdO8
_chemical_formula_sum 'Li1 Np2 Pd1 O8'
_cell_length_a 6.3073
_cell_length_b 6.3073
_cell_length_c 6.3073
_cell_angle_alpha 131.42
_cell_angle_beta 131.42
_cell_angle_gamma 71.15
_symmetry_space_group_name_H-M 'P 1'
_symmetry_Int_Tables_number 1
_symmetry_space_group_name_Hall 'P 1'
loop_
_atom_site_label
_atom_site_type_symbol
_atom_site_fract_x
_atom_site_fract_y
_atom_site_fract_z
Li1 Li 0.0000 0.0000 0.0000
Np1 Np 0.5000 0.5000 0.0000
Np2 Np 0.7500 0.2500 0.5000
Pd1 Pd 0.2500 0.7500 0.5000
O1 O 0.1249 0.1429 0.5185
O2 O 0.1249 0.6064 0.9820
O3 O 0.3936 0.3756 0.5185
O4 O 0.3936 0.8751 0.0180
O5 O 0.6244 0.1429 0.0180
O6 O 0.6244 0.6064 0.4815
O7 O 0.8571 0.3756 0.9820
O8 O 0.8571 0.8751 0.4815
```

=====

(7)
# LiPrNp2O8
Calculated powder diffractogram, Cu Kα (weighted mean of Kα1 and Kα2). Input: a cell relaxed with GGA-PBE.
No peak broadening, texture or thermal motion is included.

Top 12 peaks for 10 to 90 degrees two-theta, sorted by position:
d 5.057, intensity 68; d 4.098, intensity 20; d 3.698, intensity 61; d 3.498, intensity 13; d 3.465, intensity 48; d 2.877, intensity 100; d 2.541, intensity 20; d 2.532, intensity 15; d 2.525, intensity 14; d 2.205, intensity 15; d 1.935, intensity 46; d 1.865, intensity 35

```
data_LiPrNp2O8
_chemical_formula_sum 'Li1 Pr1 Np2 O8'
_cell_length_a 5.0607
_cell_length_b 6.9956
_cell_length_c 5.0752
_cell_angle_alpha 90.00
_cell_angle_beta 93.73
_cell_angle_gamma 90.00
_symmetry_space_group_name_H-M 'P 1'
_symmetry_Int_Tables_number 1
_symmetry_space_group_name_Hall 'P 1'
loop_
_atom_site_label
_atom_site_type_symbol
_atom_site_fract_x
_atom_site_fract_y
_atom_site_fract_z
Li1 Li 0.0000 0.0000 0.0000
Pr1 Pr 0.0000 0.5000 0.0000
Np1 Np 0.5000 0.2424 0.5000
Np2 Np 0.5000 0.7576 0.5000
O1 O 0.2187 0.2381 0.2203
O2 O 0.2187 0.7619 0.2203
O3 O 0.3250 0.5000 0.6761
O4 O 0.3282 0.0000 0.6725
O5 O 0.6718 0.0000 0.3275
O6 O 0.6750 0.5000 0.3239
O7 O 0.7813 0.2381 0.7797
O8 O 0.7813 0.7619 0.7797
```

=====

(8)
# Rb2LiNpO6
Calculated powder diffractogram, Cu Kα (weighted mean of Kα1 and Kα2). Input: a cell relaxed with GGA-PBE.
No peak broadening, texture or thermal motion is included.

Top 12 peaks for 10 to 90 degrees two-theta, sorted by position:
d 4.947, intensity 100; d 3.033, intensity 77; d 3.023, intensity 38; d 2.592, intensity 17; d 2.579, intensity 35; d 2.151, intensity 13; d 2.140, intensity 13; d 2.135, intensity 13; d 1.968, intensity 14; d 1.753, intensity 16; d 1.747, intensity 32; d 1.516, intensity 16

```
data_Rb2LiNpO6
_chemical_formula_sum 'Rb2 Li1 Np1 O6'
_cell_length_a 6.0696
_cell_length_b 6.0616
_cell_length_c 6.0458
_cell_angle_alpha 60.17
_cell_angle_beta 60.04
_cell_angle_gamma 59.78
_symmetry_space_group_name_H-M 'P 1'
_symmetry_Int_Tables_number 1
_symmetry_space_group_name_Hall 'P 1'
loop_
_atom_site_label
_atom_site_type_symbol
_atom_site_fract_x
_atom_site_fract_y
_atom_site_fract_z
Rb1 Rb 0.2500 0.2500 0.2500
Rb2 Rb 0.7500 0.7500 0.7500
Li1 Li 0.0000 0.0000 0.0000
Np1 Np 0.5000 0.5000 0.5000
O1 O 0.2680 0.7320 0.7320
O2 O 0.2689 0.7311 0.2689
O3 O 0.2705 0.2705 0.7295
O4 O 0.7295 0.7295 0.2705
O5 O 0.7311 0.2689 0.7311
O6 O 0.7320 0.2680 0.2680
```